1.
Structure and simulated powder XRD pattern of La2Pr5Er3 (the PBE geometry in Alexandria; Cu Kα (λ = 1.5418 Å)).

Unit cell a=9.5027 b=9.5027 c=9.9126 alpha=109.04 beta=109.04 gamma=108.38
Positions (direct):
La 0.0253 0.2703 0.0551
La 0.2703 0.0253 0.5551
La 0.7297 0.9747 0.4449
La 0.9747 0.7297 0.9449
Pr 0.1473 0.3831 0.7705
Pr 0.2283 0.7717 0.7500
Pr 0.2665 0.7335 0.2500
Pr 0.3831 0.1473 0.2705
Pr 0.4686 0.5314 0.2500
Pr 0.5314 0.4686 0.7500
Pr 0.6169 0.8527 0.7295
Pr 0.7335 0.2665 0.7500
Pr 0.7717 0.2283 0.2500
Pr 0.8527 0.6169 0.2295
Er 0.0224 0.9776 0.7500
Er 0.2199 0.4636 0.4507
Er 0.4636 0.2199 0.9507
Er 0.5364 0.7801 0.0493
Er 0.7801 0.5364 0.5493
Er 0.9776 0.0224 0.2500

Main lines, by intensity (2θ from 10° to 90°):
- 2θ 30.2, intensity 100
- 2θ 29.4, intensity 50
- 2θ 32.2, intensity 49
- 2θ 29.3, intensity 48
- 2θ 31.8, intensity 23
- 2θ 48.6, intensity 22
- 2θ 36.6, intensity 19
- 2θ 67.0, intensity 18
- 2θ 38.6, intensity 16
- 2θ 34.7, intensity 13

2.
Structure and simulated powder XRD pattern of La2Pr3Er6 (the PBE geometry in Alexandria; Cu Kα (λ = 1.5418 Å)).

Unit cell a=6.1635 b=6.1635 c=11.6905 alpha=94.00 beta=94.00 gamma=118.70
Positions (direct):
La 0.1811 0.8189 0.0000
La 0.8189 0.1811 0.0000
Pr 0.0000 0.0000 0.5000
Pr 0.3361 0.6639 0.5000
Pr 0.6639 0.3361 0.5000
Er 0.0694 0.4031 0.7470
Er 0.2654 0.2654 0.2456
Er 0.4031 0.0694 0.7470
Er 0.5969 0.9306 0.2530
Er 0.7346 0.7346 0.7544
Er 0.9306 0.5969 0.2530

Main lines, by intensity (2θ from 10° to 90°):
- 2θ 30.6, intensity 100
- 2θ 36.1, intensity 64
- 2θ 30.7, intensity 50
- 2θ 30.9, intensity 49
- 2θ 34.5, intensity 36
- 2θ 51.0, intensity 26
- 2θ 50.7, intensity 24
- 2θ 59.4, intensity 22
- 2θ 61.9, intensity 13
- 2θ 61.5, intensity 13

3.
Structure and simulated powder XRD pattern of LaPr7Er3 (the PBE geometry in Alexandria; Cu Kα (λ = 1.5418 Å)).

Unit cell a=8.6391 b=8.6391 c=8.6391 alpha=139.47 beta=97.70 gamma=96.08
Positions (direct):
La 0.0000 0.0000 0.0000
Pr 0.0000 0.5000 0.5000
Pr 0.0963 0.2947 0.8016
Pr 0.2921 0.0000 0.2921
Pr 0.4931 0.2947 0.1984
Pr 0.5069 0.7053 0.8016
Pr 0.7079 0.0000 0.7079
Pr 0.9037 0.7053 0.1984
Er 0.2972 0.7972 0.5000
Er 0.5000 0.5000 0.0000
Er 0.7028 0.2028 0.5000

Main lines, by intensity (2θ from 10° to 90°):
- 2θ 32.0, intensity 100
- 2θ 31.8, intensity 98
- 2θ 29.9, intensity 74
- 2θ 31.0, intensity 31
- 2θ 31.5, intensity 28
- 2θ 43.6, intensity 24
- 2θ 54.3, intensity 22
- 2θ 43.9, intensity 22
- 2θ 54.2, intensity 21
- 2θ 60.4, intensity 19